# 1
Theoretical powder diffraction line list of AuC7 for Cu Kα (weighted mean of Kα1 and Kα2), from a crystal structure in Alexandria, relaxed with GGA-PBE.
Kinematic intensities with the Lorentz-polarization factor, no thermal factor.

Atomic structure:
Lattice parameters (Å, degrees): 6.6821 6.6821 6.6821 90.00 90.00 90.00
Space group Fm-3m (No. 225)
Asymmetric unit:
1 Au 0.0000 0.0000 0.0000 x4
2 C 0.0000 0.0000 0.5000 x4
3 C 0.0000 0.2500 0.2500 x24

Main lines, most intense first (2θ = 5–70°):
Position (°2θ)  Rel. int.
23.05  1000
45.00  551
26.68  532
38.09  434
47.11  309
60.38  235
62.12  217
68.83  161

# 2
Theoretical powder diffraction line list of Zr7Sn for Cu Kα (weighted mean of Kα1 and Kα2), from a crystal structure in Alexandria, relaxed with GGA-PBE.
Kinematic intensities with the Lorentz-polarization factor, no thermal factor.

Atomic structure:
Lattice parameters (Å, degrees): 9.0013 9.0013 9.0013 90.00 90.00 90.00
Space group Fm-3m (No. 225)
Asymmetric unit:
1 Zr 0.0000 0.0000 0.0000 x4
2 Zr 0.0000 0.2500 0.2500 x24
3 Sn 0.0000 0.0000 0.5000 x4

Main lines, most intense first (2θ = 5–70°):
Position (°2θ)  Rel. int.
34.52  1000
40.07  493
69.24  379
57.96  327
17.06  6

# 3
Theoretical powder diffraction line list of Pm3NdSm6 for Cu Kα (weighted mean of Kα1 and Kα2), from a crystal structure in Alexandria, relaxed with GGA-PBE.
Kinematic intensities with the Lorentz-polarization factor, no thermal factor.

Atomic structure:
Lattice parameters (Å, degrees): 10.0434 10.0434 11.8711 90.00 90.00 120.00
Space group R3 (No. 146, hexagonal axes)
Asymmetric unit:
1 Pm 0.0000 0.0000 0.0000 x3
2 Pm 0.0000 0.0000 0.2490 x3
3 Pm 0.0000 0.0000 0.4983 x3
4 Nd 0.0000 0.0000 0.7490 x3
5 Sm 0.9999 0.3264 0.7480 x9
6 Sm 0.9999 0.6741 0.2480 x9

Main lines, most intense first (2θ = 5–70°):
Position (°2θ)  Rel. int.
30.84  1000
28.72  663
53.55  229
42.65  225
54.85  195
31.86  156
40.97  138
56.29  133

# 4
Theoretical powder diffraction line list of Na2Pm2I7 for Cu Kα (weighted mean of Kα1 and Kα2), from a crystal structure in Alexandria, relaxed with GGA-PBE.
Kinematic intensities with the Lorentz-polarization factor, no thermal factor.

Atomic structure:
Lattice parameters (Å, degrees): 9.4290 14.1862 8.2784 90.00 95.42 90.00
Space group C2/m (No. 12)
Asymmetric unit:
1 Na 0.0000 0.2077 0.0000 x4
2 Pm 0.1921 0.0000 0.6047 x4
3 I 0.0000 0.5000 0.5000 x2
4 I 0.1001 0.0000 0.2358 x4
5 I 0.2461 0.1916 0.7655 x8

Main lines, most intense first (2θ = 5–70°):
Position (°2θ)  Rel. int.
25.16  1000
30.24  839
16.49  813
43.77  537
27.41  535
30.96  499
11.30  433
23.26  427